1.
For Er4MgNi, DFT lattice parameters and positions (GGA-PBE) gives the simulated powder diffraction line list in this record (Cu Kα).
Intensities are scaled so that the largest is 1000.

Main lines, most intense first (2θ from 15° to 90°):
- 2θ 34.33, rel. 1000
- 2θ 32.31, rel. 653
- 2θ 57.63, rel. 588
- 2θ 28.67, rel. 579
- 2θ 37.48, rel. 283
- 2θ 55.41, rel. 198
- 2θ 87.05, rel. 177
- 2θ 88.90, rel. 164
- 2θ 58.93, rel. 145
- 2θ 68.82, rel. 133

Structure:
```
Er4MgNi
1.0
0.0000 6.7864 6.7864
6.7864 0.0000 6.7864
6.7864 6.7864 0.0000
Er Mg Ni
16 4 4
Cartesian
6.7864 6.7864 2.5144
6.7864 2.5144 6.7864
11.0583 6.7864 6.7864
5.4807 5.4807 5.4807
8.0921 8.0921 5.4807
8.0921 5.4807 8.0921
10.1796 10.1796 7.6364
10.1796 7.6364 10.1796
12.7228 10.1796 10.1796
5.4807 8.0921 8.0921
2.5144 6.7864 6.7864
6.7864 11.0583 6.7864
6.7864 6.7864 11.0583
7.6364 10.1796 10.1796
10.1796 12.7228 10.1796
10.1796 10.1796 12.7228
2.2993 2.2993 2.2993
4.4871 4.4871 2.2993
4.4871 2.2993 4.4871
2.2993 4.4871 4.4871
8.2563 5.3164 5.3164
5.3164 8.2563 5.3164
5.3164 5.3164 8.2563
8.2563 8.2563 8.2563
```

2.
For Pb, DFT lattice parameters and positions (GGA-PBE) gives the simulated powder diffraction line list in this record (Cu Kα).
Intensities are scaled so that the largest is 1000.

Main lines, most intense first (2θ from 15° to 90°):
- 2θ 32.93, rel. 1000
- 2θ 30.61, rel. 268
- 2θ 61.12, rel. 235
- 2θ 55.90, rel. 229
- 2θ 29.06, rel. 229
- 2θ 51.51, rel. 194
- 2θ 42.71, rel. 166
- 2θ 62.50, rel. 165
- 2θ 85.18, rel. 148
- 2θ 86.27, rel. 96

Structure:
```
Pb
1.0
3.5484 0.0000 0.0000
-1.7742 3.0730 0.0000
0.0000 0.0000 5.8413
Pb
2
Cartesian
0.0000 2.0487 1.4603
1.7742 1.0243 4.3810
```

3.
For Sr3Dy, DFT lattice parameters and positions (GGA-PBE) gives the simulated powder diffraction line list in this record (Cu Kα).
Intensities are scaled so that the largest is 1000.

Main lines, most intense first (2θ from 15° to 90°):
- 2θ 28.88, rel. 1000
- 2θ 27.21, rel. 260
- 2θ 53.19, rel. 237
- 2θ 25.41, rel. 231
- 2θ 49.14, rel. 228
- 2θ 44.78, rel. 198
- 2θ 54.17, rel. 168
- 2θ 37.57, rel. 165
- 2θ 72.83, rel. 137
- 2θ 77.78, rel. 97

Structure:
```
Sr3Dy
1.0
8.0956 0.0000 0.0000
-4.0478 7.0110 0.0000
0.0000 0.0000 6.5537
Sr Dy
6 2
Cartesian
0.0000 2.4083 1.6384
-1.9622 5.8068 1.6384
2.0856 1.2041 4.9152
1.9622 5.8068 1.6384
6.0100 1.2041 4.9152
4.0478 4.6027 4.9152
0.0000 4.6740 4.9152
4.0478 2.3370 1.6384
```

4.
For LaCuSn, DFT lattice parameters and positions (GGA-PBE) gives the simulated powder diffraction line list in this record (Cu Kα).
Intensities are scaled so that the largest is 1000.

Main lines, most intense first (2θ from 15° to 90°):
- 2θ 31.21, rel. 1000
- 2θ 39.07, rel. 543
- 2θ 60.30, rel. 302
- 2θ 50.83, rel. 254
- 2θ 65.92, rel. 231
- 2θ 44.02, rel. 129
- 2θ 87.24, rel. 111
- 2θ 70.79, rel. 94
- 2θ 72.94, rel. 86
- 2θ 24.78, rel. 65

Structure:
```
LaCuSn
1.0
4.6109 0.0000 0.0000
-2.3054 3.9931 0.0000
0.0000 0.0000 8.2282
La Cu Sn
2 2 2
Cartesian
0.0000 0.0000 0.0000
0.0000 0.0000 4.1141
0.0000 2.6621 2.0570
2.3054 1.3310 6.1711
0.0000 2.6621 6.1711
2.3054 1.3310 2.0570
```

5.
For MgBi4O8, DFT lattice parameters and positions (GGA-PBE) gives the simulated powder diffraction line list in this record (Cu Kα).
Intensities are scaled so that the largest is 1000.

Main lines, most intense first (2θ from 15° to 90°):
- 2θ 15.67, rel. 1000
- 2θ 30.26, rel. 710
- 2θ 31.64, rel. 559
- 2θ 36.70, rel. 504
- 2θ 52.88, rel. 382
- 2θ 48.28, rel. 286
- 2θ 62.95, rel. 280
- 2θ 40.13, rel. 271
- 2θ 55.50, rel. 239
- 2θ 74.40, rel. 171

Structure:
```
MgBi4O8
1.0
6.9232 0.0000 0.0000
-3.4600 5.9993 0.0000
-3.4602 -2.0016 5.6557
Mg Bi O
1 4 8
Cartesian
0.0000 0.0000 0.0000
-1.7892 0.9929 3.4911
-3.4992 3.9576 3.4915
3.4207 1.9798 0.6826
1.7014 0.9849 3.4941
-2.0446 2.8208 2.1778
-3.5163 1.9729 4.5816
0.0064 0.0020 2.0539
-1.7781 -1.0288 4.9767
1.7409 -1.0080 4.9531
0.0003 2.0131 4.9554
3.4105 0.2932 2.1862
1.9555 2.8130 2.1889
```

6.
For P2Pb3O8, DFT lattice parameters and positions (GGA-PBE) gives the simulated powder diffraction line list in this record (Cu Kα).
Intensities are scaled so that the largest is 1000.

Main lines, most intense first (2θ from 15° to 90°):
- 2θ 30.07, rel. 1000
- 2θ 30.26, rel. 798
- 2θ 21.60, rel. 624
- 2θ 31.21, rel. 497
- 2θ 49.10, rel. 381
- 2θ 20.66, rel. 377
- 2θ 27.45, rel. 363
- 2θ 46.42, rel. 336
- 2θ 26.37, rel. 334
- 2θ 47.74, rel. 321

Structure:
```
P2Pb3O8
1.0
9.9277 0.0000 0.0000
-4.9638 8.5976 0.0000
0.0000 0.0000 7.3501
P Pb O
6 9 24
Cartesian
-2.9201 5.3868 0.0000
1.7588 3.3753 0.0000
3.8290 0.1717 3.6690
1.1613 8.4331 0.0000
3.1980 5.1958 3.6690
7.8645 3.2302 3.6690
1.3109 2.1842 3.6951
2.5667 0.0903 7.2886
0.0000 5.7318 1.8410
0.0000 5.7318 5.4780
4.9639 2.8659 1.7149
7.3806 0.0432 3.6951
3.7587 6.3296 7.2886
8.5661 2.1777 7.2886
6.2000 6.3702 3.6951
-2.8315 6.3015 6.0859
-2.7947 6.3257 1.2405
-1.6372 4.4582 7.3341
-0.7628 4.1182 3.6657
0.8830 3.0145 1.2405
0.9223 2.9947 6.0859
-1.0160 7.1992 3.6657
2.9888 0.6219 4.8938
3.0506 0.6926 2.4152
-0.2843 7.7864 7.3341
3.1321 2.6779 0.0292
1.9215 4.9507 7.3341
3.0258 3.6540 3.6341
1.7788 5.8779 3.6657
5.2503 0.7934 3.6341
1.9117 7.8551 1.2405
1.9092 7.8991 6.0859
6.0425 1.3735 0.0292
4.0384 5.6094 2.4152
4.0081 5.6983 4.8938
5.7170 4.5462 0.0292
6.6154 4.1502 3.6341
7.8026 2.2956 2.4152
7.8947 2.2774 4.8938
```

7.
For Bi2CO5, DFT lattice parameters and positions (GGA-PBE) gives the simulated powder diffraction line list in this record (Cu Kα).
Intensities are scaled so that the largest is 1000.

Main lines, most intense first (2θ from 15° to 90°):
- 2θ 27.47, rel. 1000
- 2θ 31.50, rel. 807
- 2θ 31.69, rel. 669
- 2θ 51.04, rel. 393
- 2θ 20.51, rel. 384
- 2θ 51.41, rel. 376
- 2θ 25.62, rel. 319
- 2θ 41.22, rel. 295
- 2θ 58.68, rel. 250
- 2θ 39.55, rel. 216

Structure:
```
Bi2CO5
1.0
3.5975 0.0000 0.0000
0.0000 4.5573 0.0000
0.0000 0.0000 13.8801
Bi C O
4 2 10
Cartesian
0.0000 0.0000 0.0000
0.0000 0.0000 4.5026
1.7987 2.2787 6.9400
1.7987 2.2787 11.4426
0.0000 0.0000 8.9623
1.7987 2.2787 2.0222
0.0000 0.0000 10.2536
0.0000 1.1093 8.3033
0.0000 2.2787 5.4696
0.0000 2.2787 12.7577
0.0000 3.4480 8.3033
1.7987 0.0000 5.8176
1.7987 0.0000 12.4097
1.7987 1.1694 1.3633
1.7987 2.2787 3.3136
1.7987 3.3880 1.3633
```

8.
For TmGaCu2, DFT lattice parameters and positions (GGA-PBE) gives the simulated powder diffraction line list in this record (Cu Kα).
Intensities are scaled so that the largest is 1000.

Main lines, most intense first (2θ from 15° to 90°):
- 2θ 40.10, rel. 1000
- 2θ 72.85, rel. 325
- 2θ 58.00, rel. 164
- 2θ 24.24, rel. 151
- 2θ 86.57, rel. 104
- 2θ 28.06, rel. 93
- 2θ 47.40, rel. 78
- 2θ 65.64, rel. 39
- 2θ 63.78, rel. 33
- 2θ 49.65, rel. 28

Structure:
```
TmGaCu2
1.0
6.3608 0.0000 0.0000
0.0000 6.3608 0.0000
0.0000 0.0000 6.3608
Tm Ga Cu
4 4 8
Cartesian
0.0000 0.0000 0.0000
0.0000 3.1804 3.1804
3.1804 0.0000 3.1804
3.1804 3.1804 0.0000
0.0000 0.0000 3.1804
0.0000 3.1804 0.0000
3.1804 0.0000 0.0000
3.1804 3.1804 3.1804
1.5902 1.5902 1.5902
1.5902 1.5902 4.7706
1.5902 4.7706 1.5902
1.5902 4.7706 4.7706
4.7706 1.5902 1.5902
4.7706 1.5902 4.7706
4.7706 4.7706 1.5902
4.7706 4.7706 4.7706
```

9.
For SbAuO3, DFT lattice parameters and positions (GGA-PBE) gives the simulated powder diffraction line list in this record (Cu Kα).
Intensities are scaled so that the largest is 1000.

Main lines, most intense first (2θ from 15° to 90°):
- 2θ 31.61, rel. 1000
- 2θ 56.30, rel. 401
- 2θ 45.32, rel. 272
- 2θ 75.05, rel. 176
- 2θ 66.02, rel. 169
- 2θ 38.98, rel. 67
- 2θ 83.71, rel. 59
- 2θ 22.21, rel. 41
- 2θ 51.02, rel. 25
- 2θ 79.41, rel. 22

Structure:
```
SbAuO3
1.0
4.0024 0.0000 0.0000
0.0000 4.0024 0.0000
0.0000 0.0000 4.0024
Sb Au O
1 1 3
Cartesian
0.0000 0.0000 0.0000
2.0012 2.0012 2.0012
0.0000 0.0000 2.0012
0.0000 2.0012 0.0000
2.0012 0.0000 0.0000
```